No. 1
This entry pairs a crystal structure of Ca2Fe2O5 with its computed PXRD pattern. Radiation: Cu Kα (λ = 1.5418 Å). Structure: the GGA+U geometry in the Materials Project.
No peak broadening, texture or thermal motion is included.

Structure:
abc: 8.2366 5.5147 5.3706
angles: 90.00 90.00 90.00
Space group Pmn2_1 (No. 31)
Inequivalent atoms, fractional coordinates:
Ca (0.0000, 0.2057, 0.0000) (multiplicity 2)
Ca (0.0000, 0.7151, 0.4055) (multiplicity 2)
Fe (0.2199, 0.7522, 0.9317) (multiplicity 4)
O (0.0000, 0.7937, 0.8200) (multiplicity 2)
O (0.1873, 0.9740, 0.2381) (multiplicity 4)
O (0.1900, 0.4727, 0.1752) (multiplicity 4)

Main lines, sorted by position (5 to 70 degrees two-theta):
19.4°, I = 9, hkl 1 1 0; 19.7°, I = 13, hkl 1 0 1; 23.1°, I = 11, hkl 0 1 1; 31.8°, I = 100, hkl 2 1 1; 32.5°, I = 16, hkl 0 2 0; 33.4°, I = 12, hkl 0 0 2; 38.9°, I = 9, hkl 1 1 2; 44.0°, I = 11, hkl 4 0 0; 47.2°, I = 27, hkl 0 2 2; 55.7°, I = 9, hkl 4 2 0; 57.5°, I = 14, hkl 2 3 1; 58.7°, I = 18, hkl 2 1 3


No. 2
This entry pairs a crystal structure of Ca2Fe3O8 with its computed PXRD pattern. Radiation: Cu Kα (λ = 1.5418 Å). Structure: the GGA+U geometry in the Materials Project.
No peak broadening, texture or thermal motion is included.

Structure:
abc: 5.0175 6.2732 6.3491
angles: 118.39 107.31 93.09
Space group P-1 (No. 2)
Inequivalent atoms, fractional coordinates:
Ca (0.1592, 0.2274, 0.4436) (multiplicity 2)
Fe (0.0000, 0.5000, 0.0000) (multiplicity 1)
Fe (0.4950, 0.7808, 0.0195) (multiplicity 2)
O (0.1034, 0.6047, 0.7903) (multiplicity 2)
O (0.1243, 0.1697, 0.7948) (multiplicity 2)
O (0.3941, 0.6490, 0.2103) (multiplicity 2)
O (0.4557, 0.1358, 0.2112) (multiplicity 2)

Main lines, sorted by position (5 to 70 degrees two-theta):
17.1°, I = 100, hkl 0 0 1; 20.4°, I = 31, hkl 1 0 -1; 27.1°, I = 36, hkl 1 -1 1; 28.1°, I = 41, hkl 1 1 0; 29.0°, I = 50, hkl -1 1 1; 30.1°, I = 41, hkl 1 1 -2; 33.4°, I = 39, hkl 0 2 0; 34.5°, I = 59, hkl 1 -2 0; 38.7°, I = 24, hkl 2 0 0; 43.2°, I = 35, hkl -1 2 1; 44.6°, I = 38, hkl 1 2 -3; 48.3°, I = 30, hkl 2 0 1


No. 3
This entry pairs a crystal structure of CaFe2O4 with its computed PXRD pattern. Radiation: Cu Kα (λ = 1.5418 Å). Structure: the GGA+U geometry in the Materials Project.
No peak broadening, texture or thermal motion is included.

Structure:
abc: 6.1918 6.2271 6.2332
angles: 119.23 118.95 90.94
Space group P-1 (No. 2)
Inequivalent atoms, fractional coordinates:
Ca (0.1231, 0.3778, 0.2537) (multiplicity 2)
Fe (0.0000, 0.0000, 0.5000) (multiplicity 1)
Fe (0.5000, 0.0000, 0.0000) (multiplicity 1)
Fe (0.5000, 0.0000, 0.5000) (multiplicity 1)
Fe (0.5000, 0.5000, 0.0000) (multiplicity 1)
O (0.2595, 0.8070, 0.5396) (multiplicity 2)
O (0.2619, 0.2300, 0.5376) (multiplicity 2)
O (0.2806, 0.2405, 0.9829) (multiplicity 2)
O (0.3028, 0.7715, 0.0474) (multiplicity 2)

Main lines, sorted by position (5 to 70 degrees two-theta):
17.3°, I = 100, hkl 0 1 -1; 17.4°, I = 36, hkl 1 0 -1; 33.1°, I = 62, hkl 1 0 1; 33.3°, I = 53, hkl 0 1 -2; 33.5°, I = 80, hkl 1 -2 0; 33.9°, I = 50, hkl 1 2 -1; 40.2°, I = 41, hkl 0 0 2; 40.8°, I = 39, hkl 2 -2 0; 41.5°, I = 37, hkl 2 2 -2; 53.8°, I = 37, hkl 2 -3 0; 58.6°, I = 57, hkl -2 2 2; 59.4°, I = 55, hkl 2 2 -4


No. 4
This entry pairs a crystal structure of CaFe4O6 with its computed PXRD pattern. Radiation: Cu Kα (λ = 1.5418 Å). Structure: the GGA+U geometry in the Materials Project.
No peak broadening, texture or thermal motion is included.

Structure:
abc: 3.0681 10.2972 15.3460
angles: 90.00 90.00 90.00
Space group Cmcm (No. 63)
Inequivalent atoms, fractional coordinates:
Ca (0.0000, 0.1552, 0.2500) (multiplicity 4)
Fe (0.0000, 0.0967, 0.6333) (multiplicity 8)
Fe (0.0000, 0.3654, 0.5437) (multiplicity 8)
O (0.0000, 0.0000, 0.0000) (multiplicity 4)
O (0.0000, 0.1774, 0.7500) (multiplicity 4)
O (0.0000, 0.2856, 0.0848) (multiplicity 8)
O (0.0000, 0.4662, 0.6580) (multiplicity 8)

Main lines, sorted by position (5 to 70 degrees two-theta):
11.5°, I = 33, hkl 0 0 2; 32.6°, I = 32, hkl 1 1 2; 34.0°, I = 100, hkl 0 2 5; 34.9°, I = 32, hkl 0 4 0; 35.2°, I = 33, hkl 1 1 3; 39.8°, I = 39, hkl 1 3 1; 41.2°, I = 78, hkl 1 3 2; 43.3°, I = 51, hkl 1 3 3; 44.9°, I = 19, hkl 0 2 7; 57.4°, I = 28, hkl 1 1 8; 59.2°, I = 29, hkl 1 5 4; 60.3°, I = 32, hkl 2 0 0


No. 5
This entry pairs a crystal structure of CaFe8O12 with its computed PXRD pattern. Radiation: Cu Kα (λ = 1.5418 Å). Structure: the GGA+U geometry in the Materials Project.
No peak broadening, texture or thermal motion is included.

Structure:
abc: 6.0216 5.2826 7.5328
angles: 90.00 95.37 90.00
Space group P2 (No. 3)
Inequivalent atoms, fractional coordinates:
Ca (0.0000, 0.0000, 0.0000) (multiplicity 1)
Fe (0.1719, 0.9594, 0.4155) (multiplicity 2)
Fe (0.2911, 0.4700, 0.5912) (multiplicity 2)
Fe (0.3017, 0.4881, 0.0920) (multiplicity 2)
Fe (0.4630, 0.9786, 0.7678) (multiplicity 2)
O (0.0000, 0.4086, 0.0000) (multiplicity 1)
O (0.0000, 0.6222, 0.5000) (multiplicity 1)
O (0.1765, 0.1271, 0.6622) (multiplicity 2)
O (0.2393, 0.8201, 0.1838) (multiplicity 2)
O (0.3536, 0.6368, 0.8360) (multiplicity 2)
O (0.3720, 0.3022, 0.3353) (multiplicity 2)
O (0.5000, 0.1780, 0.0000) (multiplicity 1)
O (0.5000, 0.7776, 0.5000) (multiplicity 1)

Main lines, sorted by position (5 to 70 degrees two-theta):
14.8°, I = 19, hkl 1 0 0; 26.8°, I = 29, hkl 1 0 -2; 29.2°, I = 11, hkl 0 1 2; 33.9°, I = 100, hkl 0 2 0; 34.4°, I = 21, hkl 2 1 0; 35.5°, I = 13, hkl 2 1 -1; 41.5°, I = 10, hkl 1 1 -3; 43.8°, I = 16, hkl 1 2 -2; 48.7°, I = 23, hkl 3 1 0; 50.8°, I = 21, hkl 2 2 -2; 52.7°, I = 24, hkl 1 1 -4; 60.7°, I = 38, hkl 2 0 4


No. 6
This entry pairs a crystal structure of CaFe2O4 with its computed PXRD pattern. Radiation: Cu Kα (λ = 1.5418 Å). Structure: the GGA+U geometry in the Materials Project.
No peak broadening, texture or thermal motion is included.

Structure:
abc: 6.0358 6.0358 8.8268
angles: 90.00 90.00 90.00
Space group I4_1/amd (No. 141, origin choice 2)
Inequivalent atoms, fractional coordinates:
Ca (0.0000, 0.2500, 0.3750) (multiplicity 4)
Fe (0.0000, 0.0000, 0.0000) (multiplicity 8)
O (0.0000, 0.0361, 0.7745) (multiplicity 16)

Main lines, sorted by position (5 to 70 degrees two-theta):
17.8°, I = 67, hkl 1 0 1; 29.1°, I = 24, hkl 1 1 2; 29.6°, I = 11, hkl 2 0 0; 33.9°, I = 47, hkl 1 0 3; 34.8°, I = 100, hkl 2 1 1; 36.1°, I = 21, hkl 2 0 2; 40.9°, I = 17, hkl 0 0 4; 42.4°, I = 34, hkl 2 2 0; 54.1°, I = 22, hkl 1 0 5; 55.9°, I = 38, hkl 3 2 1; 60.3°, I = 49, hkl 2 2 4; 61.4°, I = 24, hkl 4 0 0


No. 7
This entry pairs a crystal structure of Ca2Fe3O8 with its computed PXRD pattern. Radiation: Cu Kα (λ = 1.5418 Å). Structure: the GGA+U geometry in the Materials Project.
No peak broadening, texture or thermal motion is included.

Structure:
abc: 6.0559 6.0559 10.5797
angles: 90.00 90.00 120.00
Space group P6_3mc (No. 186)
Inequivalent atoms, fractional coordinates:
Ca (0.3333, 0.6667, 0.0000) (multiplicity 2)
Ca (0.3333, 0.6667, 0.4042) (multiplicity 2)
Fe (0.1642, 0.3284, 0.7204) (multiplicity 6)
O (0.0000, 0.0000, 0.3252) (multiplicity 2)
O (0.0472, 0.5236, 0.8216) (multiplicity 6)
O (0.1544, 0.3088, 0.1307) (multiplicity 6)
O (0.3333, 0.6667, 0.6151) (multiplicity 2)

Main lines, sorted by position (5 to 70 degrees two-theta):
16.8°, I = 100, hkl 0 0 2; 18.9°, I = 26, hkl 1 0 1; 23.9°, I = 52, hkl 1 0 2; 30.5°, I = 50, hkl 1 0 3; 34.1°, I = 88, hkl 1 1 2; 35.3°, I = 62, hkl 2 0 1; 38.3°, I = 25, hkl 2 0 2; 43.0°, I = 35, hkl 2 0 3; 48.9°, I = 27, hkl 2 0 4; 53.0°, I = 27, hkl 2 1 3; 55.8°, I = 60, hkl 2 0 5; 61.2°, I = 41, hkl 2 2 0


No. 8
This entry pairs a crystal structure of CaFeO3 with its computed PXRD pattern. Radiation: Cu Kα (λ = 1.5418 Å). Structure: the GGA+U geometry in the Materials Project.
No peak broadening, texture or thermal motion is included.

Structure:
abc: 5.4340 3.8570 5.4235
angles: 90.00 90.00 90.00
Space group Pmma (No. 51)
Inequivalent atoms, fractional coordinates:
Ca (0.2500, 0.0000, 0.2443) (multiplicity 2)
Fe (0.2500, 0.5000, 0.7494) (multiplicity 2)
O (0.0000, 0.5000, 0.0000) (multiplicity 2)
O (0.0000, 0.5000, 0.5000) (multiplicity 2)
O (0.2500, 0.0000, 0.7528) (multiplicity 2)

Main lines, sorted by position (5 to 70 degrees two-theta):
23.1°, I = 8, hkl 0 1 0; 23.2°, I = 16, hkl 1 0 1; 32.9°, I = 100, hkl 2 0 0; 33.0°, I = 20, hkl 0 0 2; 40.6°, I = 6, hkl 2 1 0; 47.1°, I = 21, hkl 0 2 0; 47.4°, I = 41, hkl 2 0 2; 53.3°, I = 5, hkl 1 0 3; 58.7°, I = 14, hkl 2 2 0; 58.9°, I = 28, hkl 3 1 1; 69.0°, I = 22, hkl 2 2 2; 69.1°, I = 5, hkl 4 0 0


No. 9
This entry pairs a crystal structure of CaFe2O4 with its computed PXRD pattern. Radiation: Cu Kα (λ = 1.5418 Å). Structure: the GGA+U geometry in the Materials Project.
No peak broadening, texture or thermal motion is included.

Structure:
abc: 8.9027 8.9027 8.9027
angles: 90.00 90.00 90.00
Space group Fd-3m (No. 227, origin choice 2)
Inequivalent atoms, fractional coordinates:
Ca (0.1250, 0.1250, 0.1250) (multiplicity 8)
Fe (0.0000, 0.0000, 0.5000) (multiplicity 16)
O (0.0175, 0.0175, 0.7325) (multiplicity 32)

Main lines, sorted by position (5 to 70 degrees two-theta):
17.3°, I = 40, hkl 1 1 1; 28.4°, I = 23, hkl 2 2 0; 33.4°, I = 100, hkl 3 1 1; 34.9°, I = 13, hkl 2 2 2; 40.5°, I = 36, hkl 4 0 0; 44.4°, I = 1, hkl 3 3 1; 50.2°, I = 6, hkl 4 2 2; 53.5°, I = 43, hkl 5 1 1; 58.7°, I = 51, hkl 4 4 0; 61.6°, I = 6, hkl 5 3 1; 66.4°, I = 2, hkl 6 2 0; 69.2°, I = 11, hkl 5 3 3


No. 10
This entry pairs a crystal structure of CaFe2O4 with its computed PXRD pattern. Radiation: Cu Kα (λ = 1.5418 Å). Structure: the GGA+U geometry in the Materials Project.
No peak broadening, texture or thermal motion is included.

Structure:
abc: 6.2216 6.2216 15.8123
angles: 90.00 90.00 120.00
Space group R3m (No. 160, hexagonal axes)
Inequivalent atoms, fractional coordinates:
Ca (0.0000, 0.0000, 0.0000) (multiplicity 3)
Ca (0.0000, 0.0000, 0.3791) (multiplicity 3)
Fe (0.0000, 0.0000, 0.6174) (multiplicity 3)
Fe (0.1717, 0.3433, 0.8327) (multiplicity 9)
O (0.0000, 0.0000, 0.2370) (multiplicity 3)
O (0.0000, 0.0000, 0.7533) (multiplicity 3)
O (0.0344, 0.5172, 0.7673) (multiplicity 9)
O (0.1687, 0.3375, 0.5739) (multiplicity 9)

Main lines, sorted by position (5 to 70 degrees two-theta):
16.8°, I = 37, hkl 0 0 3; 28.0°, I = 42, hkl 1 0 4; 28.7°, I = 21, hkl 1 1 0; 32.8°, I = 57, hkl 0 1 5; 33.4°, I = 100, hkl 1 1 3; 33.7°, I = 69, hkl 0 2 1; 40.5°, I = 59, hkl 0 2 4; 52.9°, I = 26, hkl 0 2 7; 53.5°, I = 32, hkl 1 2 5; 53.9°, I = 24, hkl 0 3 3; 57.9°, I = 54, hkl 2 0 8; 59.4°, I = 54, hkl 2 2 0


No. 11
This entry pairs a crystal structure of CaFe2O4 with its computed PXRD pattern. Radiation: Cu Kα (λ = 1.5418 Å). Structure: the GGA+U geometry in the Materials Project.
No peak broadening, texture or thermal motion is included.

Structure:
abc: 5.2127 11.2019 6.0219
angles: 90.00 90.02 90.00
Space group Pm (No. 6)
Inequivalent atoms, fractional coordinates:
Ca (0.0000, 0.0000, 0.0000) (multiplicity 1)
Ca (0.0685, 0.5000, 0.5024) (multiplicity 1)
Ca (0.3894, 0.0000, 0.5009) (multiplicity 1)
Ca (0.6791, 0.5000, 0.0017) (multiplicity 1)
Fe (0.0293, 0.2348, 0.5020) (multiplicity 2)
Fe (0.0392, 0.2653, 0.0023) (multiplicity 2)
Fe (0.5340, 0.2503, 0.7517) (multiplicity 2)
Fe (0.5345, 0.2497, 0.2518) (multiplicity 2)
O (0.1994, 0.1463, 0.2485) (multiplicity 2)
O (0.1991, 0.1459, 0.7536) (multiplicity 2)
O (0.3521, 0.3390, 0.5008) (multiplicity 2)
O (0.3766, 0.3477, 0.0005) (multiplicity 2)
O (0.6918, 0.1524, 0.5007) (multiplicity 2)
O (0.7164, 0.1611, 0.0009) (multiplicity 2)
O (0.8694, 0.3541, 0.2542) (multiplicity 2)
O (0.8692, 0.3536, 0.7490) (multiplicity 2)

Main lines, sorted by position (5 to 70 degrees two-theta):
15.8°, I = 100, hkl 0 2 0; 23.9°, I = 14, hkl 1 1 -1; 32.0°, I = 19, hkl 0 4 0; 33.0°, I = 15, hkl 1 3 -1; 34.4°, I = 40, hkl 2 0 0; 38.1°, I = 62, hkl 1 2 2; 42.3°, I = 24, hkl 2 3 0; 45.0°, I = 5, hkl 2 3 -1; 47.7°, I = 72, hkl 2 4 0; 61.0°, I = 22, hkl 1 6 2; 61.6°, I = 32, hkl 0 0 4; 64.1°, I = 12, hkl 3 2 2